Structure and computed powder diffractogram of Li2Co2S3O12 (DFT lattice parameters and positions (GGA+U); CuKα).

The 12 most intense peaks (2θ from 10° to 90°), by angle:
Position (°2θ)  Rel. int.
14.61  81
19.02  32
22.81  39
23.47  97
24.92  66
26.11  88
28.82  28
30.62  100
31.28  58
33.21  34
37.45  29
47.61  34

Atomic structure:
```
38
Lattice="6.546 -4.317 0.000 6.546 4.317 0.000 -3.847 0.000 7.922" Properties=species:S:1:pos:R:3 pbc="T T T"
Li 2.836 0.827 0.438
Li 0.912 -0.827 4.399
Li 8.333 0.827 3.523
Li 6.410 -0.827 7.484
Co 3.101 2.179 3.828
Co 8.068 2.179 0.133
Co 1.177 -2.179 7.789
Co 6.144 -2.179 4.094
S 5.584 3.809 1.981
S 1.488 0.909 6.520
S 3.411 -0.909 2.558
S 5.834 0.909 5.364
S 7.757 -0.909 1.403
S 3.661 -3.809 5.942
O -0.326 0.340 3.049
O 4.524 2.970 2.553
O 0.500 1.614 7.354
O -2.249 -0.340 7.010
O 1.397 1.402 5.070
O 6.644 2.970 1.408
O 3.054 0.544 2.467
O 2.846 1.106 6.995
O 1.131 -0.544 6.428
O 4.476 1.106 4.889
O 3.320 -1.402 1.109
O 2.424 -1.614 3.393
O 6.821 1.614 4.529
O 5.925 1.402 6.814
O 4.769 -1.106 3.034
O 8.114 0.544 1.494
O 6.399 -1.106 0.928
O 6.191 -0.544 5.456
O 2.601 -2.970 6.514
O 7.848 -1.402 2.852
O 11.494 0.340 0.912
O 8.745 -1.614 0.568
O 4.721 -2.970 5.369
O 9.571 -0.340 4.873
```